For ZnCrFeO4, a DFT-relaxed cell (GGA+U, the Materials Project) gives the theoretical PXRD pattern in this record (Cu Ka).
Lines closer than 0.1° are merged.

The 10 most intense peaks (10 to 90 degrees two-theta), sorted by position:
3.012 Å, rel. 38; 2.568 Å, rel. 100; 2.564 Å, rel. 20; 2.129 Å, rel. 16; 1.741 Å, rel. 8; 1.736 Å, rel. 9; 1.641 Å, rel. 17; 1.638 Å, rel. 27; 1.510 Å, rel. 9; 1.505 Å, rel. 43

Cell and atoms:
a b c (Å): 6.0200 6.0200 6.0200
angles (deg): 120.08 119.80 90.11
Fractional positions:
Zn1 0.3774 0.1274 0.2500
Zn2 0.6226 0.8726 0.7500
Cr1 0.0000 0.5000 0.5000
Cr2 0.5000 0.5000 0.0000
Fe1 0.0000 0.0000 0.5000
Fe2 0.0000 0.5000 0.0000
O1 0.2166 0.7379 0.4787
O2 0.2400 0.2631 0.5231
O3 0.2400 0.7170 0.9769
O4 0.2409 0.2621 0.9787
O5 0.7591 0.7379 0.0213
O6 0.7600 0.2830 0.0231
O7 0.7600 0.7369 0.4769
O8 0.7834 0.2621 0.5213